# Cs2TiSnS4
Calculated powder diffraction line list, Cu Kα (weighted mean of Kα1 and Kα2). Input: the GGA-PBE geometry in Alexandria.
No peak broadening, texture or thermal motion is included.

```
Cs2TiSnS4
1.0
0.000 7.078 12.424
3.433 0.000 12.424
3.433 7.078 0.000
Cs Ti Sn S
4 2 2 8
Cartesian
2.575 5.309 1.337 Cs
4.291 8.848 7.548 Cs
2.575 5.309 17.299 Cs
4.291 8.848 23.511 Cs
2.575 5.309 9.318 Ti
4.291 8.848 15.530 Ti
0.858 1.770 3.106 Sn
6.008 12.387 21.742 Sn
3.996 4.022 8.079 S
3.996 6.596 10.557 S
5.713 7.561 16.769 S
5.713 10.135 14.291 S
1.153 4.022 10.557 S
1.153 6.596 8.079 S
2.870 7.561 14.291 S
2.870 10.135 16.769 S
```

The 8 most intense peaks (5° ≤ 2θ ≤ 70°), in order of falling intensity:
2θ/deg	intensity
24.91	100.0
29.16	74.9
28.91	66.9
42.67	63.8
33.92	57.7
25.30	53.1
23.15	42.9
25.16	37.6

***

# CsSr2TlS4
Calculated powder diffraction line list, Cu Kα (weighted mean of Kα1 and Kα2). Input: the GGA-PBE geometry in Alexandria.
No peak broadening, texture or thermal motion is included.

```
CsSr2TlS4
1.0
-4.467 4.501 6.151
4.467 -4.501 6.151
4.467 4.501 -6.151
Cs Sr Tl S
2 4 2 8
Cartesian
-2.233 2.250 3.076 Cs
2.233 2.250 3.076 Cs
0.000 0.000 0.000 Sr
2.233 2.250 -3.076 Sr
2.233 -2.250 3.076 Sr
0.000 4.501 0.000 Sr
4.467 0.000 0.000 Tl
0.000 0.000 6.151 Tl
4.467 -0.253 2.483 S
1.958 2.250 -0.190 S
2.509 -2.250 5.961 S
4.467 4.248 -2.483 S
0.000 0.253 8.634 S
1.958 6.751 0.190 S
2.509 2.250 6.341 S
0.000 4.753 3.668 S
```

The 8 most intense peaks (5° ≤ 2θ ≤ 70°), in order of falling intensity:
2θ/deg	intensity
28.15	100.0
40.88	61.7
24.51	51.5
24.63	51.3
29.03	40.4
48.84	24.1
12.24	23.4
47.81	19.9

***

# Cs2SrU2S7
Calculated powder diffraction line list, Cu Kα (weighted mean of Kα1 and Kα2). Input: the GGA-PBE geometry in Alexandria.
No peak broadening, texture or thermal motion is included.

```
Cs2SrU2S7
1.0
-2.619 2.619 13.853
2.619 -2.619 13.853
2.619 2.619 -13.853
Cs Sr U S
2 1 2 7
Cartesian
0.000 0.000 5.144 Cs
0.000 0.000 22.562 Cs
0.000 0.000 0.000 Sr
0.000 0.000 11.275 U
0.000 0.000 16.432 U
2.619 0.000 2.267 S
0.000 0.000 8.800 S
2.619 0.000 11.586 S
0.000 0.000 13.853 S
0.000 2.619 2.267 S
0.000 0.000 18.906 S
0.000 2.619 11.586 S
```

The 8 most intense peaks (5° ≤ 2θ ≤ 70°), in order of falling intensity:
2θ/deg	intensity
23.37	100.0
24.02	61.4
34.23	45.4
41.86	45.1
17.23	28.0
40.66	23.8
6.38	21.3
47.79	20.0

***

# Cs2Sr2US6
Calculated powder diffraction line list, Cu Kα (weighted mean of Kα1 and Kα2). Input: the GGA-PBE geometry in Alexandria.
No peak broadening, texture or thermal motion is included.

```
Cs2Sr2US6
1.0
3.707 -6.277 0.000
3.707 6.277 0.000
-2.552 0.000 8.151
Cs Sr U S
2 2 1 6
Cartesian
3.707 4.084 0.000 Cs
3.707 -4.084 0.000 Cs
2.431 2.069 4.076 Sr
2.431 -2.069 4.076 Sr
-1.276 0.000 4.076 U
-0.201 1.839 5.543 S
0.843 0.000 2.601 S
-0.201 -1.839 5.543 S
5.064 1.839 2.609 S
4.019 0.000 5.551 S
5.064 -1.839 2.609 S
```

The 8 most intense peaks (5° ≤ 2θ ≤ 70°), in order of falling intensity:
2θ/deg	intensity
28.58	100.0
14.37	61.6
38.34	54.4
28.03	51.9
25.47	44.4
17.83	42.7
21.81	39.7
10.85	38.2

***

# CsTaS3
Calculated powder diffraction line list, Cu Kα (weighted mean of Kα1 and Kα2). Input: the GGA-PBE geometry in Alexandria.
No peak broadening, texture or thermal motion is included.

```
CsTaS3
1.0
7.541 0.000 0.000
-3.771 6.531 0.000
0.000 0.000 6.053
Cs Ta S
2 2 6
Cartesian
0.000 4.354 0.000 Cs
3.771 2.177 3.027 Cs
0.000 0.000 1.815 Ta
0.000 0.000 4.842 Ta
0.000 1.978 3.042 S
-2.058 5.542 3.042 S
1.713 0.989 0.016 S
2.058 5.542 3.042 S
5.828 0.989 0.016 S
3.771 4.553 0.016 S
```

The 8 most intense peaks (5° ≤ 2θ ≤ 70°), in order of falling intensity:
2θ/deg	intensity
23.60	100.0
13.56	95.6
31.12	50.8
32.61	50.4
40.64	48.4
47.53	46.1
20.00	30.6
48.27	29.5

***

# Cs2UTaS6
Calculated powder diffraction line list, Cu Kα (weighted mean of Kα1 and Kα2). Input: the GGA-PBE geometry in Alexandria.
No peak broadening, texture or thermal motion is included.

```
Cs2UTaS6
1.0
3.701 2.137 11.996
-3.701 2.137 11.996
0.000 -4.273 11.996
Cs U Ta S
4 2 2 12
Cartesian
0.000 0.000 4.604 Cs
0.000 0.000 10.378 Cs
0.000 0.000 25.611 Cs
0.000 0.000 31.385 Cs
0.000 0.000 14.769 U
0.000 0.000 21.220 U
0.000 0.000 0.000 Ta
0.000 0.000 17.994 Ta
-1.691 -0.977 16.487 S
0.000 -2.246 13.406 S
-1.945 1.123 13.406 S
-1.945 -1.123 22.583 S
0.000 -1.953 19.502 S
-1.691 0.977 19.502 S
1.691 -0.977 16.487 S
0.000 1.953 16.487 S
1.945 1.123 13.406 S
1.945 -1.123 22.583 S
0.000 2.246 22.583 S
1.691 0.977 19.502 S
```

The 8 most intense peaks (5° ≤ 2θ ≤ 70°), in order of falling intensity:
2θ/deg	intensity
24.05	100.0
32.94	41.4
22.17	41.3
14.67	36.0
45.10	29.8
49.24	28.8
42.31	28.5
28.44	27.1

***

# CsTb5S8
Calculated powder diffraction line list, Cu Kα (weighted mean of Kα1 and Kα2). Input: the GGA-PBE geometry in Alexandria.
No peak broadening, texture or thermal motion is included.

```
CsTb5S8
1.0
10.292 -2.015 0.000
10.292 2.015 0.000
-2.458 0.000 9.526
Cs Tb S
1 5 8
Cartesian
0.000 0.000 0.000 Cs
2.119 0.000 4.263 Tb
2.117 0.000 7.985 Tb
9.063 0.000 4.763 Tb
16.008 0.000 1.541 Tb
16.006 0.000 5.263 Tb
0.060 0.000 6.108 S
4.723 0.000 3.394 S
6.740 0.000 0.098 S
6.929 0.000 6.538 S
11.196 0.000 2.989 S
11.385 0.000 9.428 S
13.402 0.000 6.132 S
18.066 0.000 3.418 S
```

The 8 most intense peaks (5° ≤ 2θ ≤ 70°), in order of falling intensity:
2θ/deg	intensity
28.66	100.0
35.89	79.4
45.61	76.0
26.34	71.1
25.86	62.9
17.91	60.4
22.61	59.9
9.28	58.6

***

# Cs4Tb3ThS8
Calculated powder diffraction line list, Cu Kα (weighted mean of Kα1 and Kα2). Input: the GGA-PBE geometry in Alexandria.
No peak broadening, texture or thermal motion is included.

```
Cs4Tb3ThS8
1.0
4.135 2.388 8.094
-4.135 2.388 8.094
0.000 -4.775 8.094
Cs Tb Th S
4 3 1 8
Cartesian
0.000 0.000 0.000 Cs
-2.068 -1.194 8.094 Cs
-2.068 1.194 16.188 Cs
0.000 2.388 8.094 Cs
-4.135 0.000 12.141 Tb
-2.068 1.194 4.047 Tb
2.068 1.194 4.047 Tb
0.000 0.000 12.141 Th
0.000 0.000 5.517 S
-2.074 -1.197 13.631 S
0.000 -2.395 10.651 S
-2.074 1.197 10.651 S
2.074 -1.197 13.631 S
0.000 2.395 13.631 S
2.074 1.197 10.651 S
0.000 0.000 18.765 S
```

The 8 most intense peaks (5° ≤ 2θ ≤ 70°), in order of falling intensity:
2θ/deg	intensity
28.95	100.0
25.94	56.6
38.89	38.1
43.78	33.3
21.96	33.1
49.50	23.9
45.11	19.4
53.34	17.6

***

# CsTb4YS8
Calculated powder diffraction line list, Cu Kα (weighted mean of Kα1 and Kα2). Input: the GGA-PBE geometry in Alexandria.
No peak broadening, texture or thermal motion is included.

```
CsTb4YS8
1.0
4.187 2.417 6.830
-4.187 2.417 6.830
0.000 -4.835 6.830
Cs Tb Y S
1 4 1 8
Cartesian
0.000 0.000 0.000 Cs
-2.170 -1.253 9.359 Tb
0.000 0.000 5.123 Tb
2.170 -1.253 9.359 Tb
0.000 2.505 9.359 Tb
0.000 0.000 12.899 Y
0.000 0.000 7.823 S
0.000 -2.282 11.057 S
-1.976 1.141 11.057 S
-1.729 -0.998 14.658 S
1.729 -0.998 14.658 S
0.000 1.996 14.658 S
0.000 0.000 17.482 S
1.976 1.141 11.057 S
```

The 8 most intense peaks (5° ≤ 2θ ≤ 70°), in order of falling intensity:
2θ/deg	intensity
24.95	100.0
43.23	57.9
39.56	49.5
21.23	31.4
60.03	24.4
30.20	18.8
50.56	15.1
68.66	14.3

***

# Cs4TcS5
Calculated powder diffraction line list, Cu Kα (weighted mean of Kα1 and Kα2). Input: the GGA-PBE geometry in Alexandria.
No peak broadening, texture or thermal motion is included.

```
Cs4TcS5
1.0
-5.263 5.263 3.417
5.263 -5.263 3.417
5.263 5.263 -3.417
Cs Tc S
4 1 5
Cartesian
3.133 1.148 0.000 Cs
4.115 -2.130 3.417 Cs
1.148 7.394 0.000 Cs
2.130 4.115 3.417 Cs
0.000 0.000 4.027 Tc
5.956 3.103 -0.022 S
3.103 4.571 -0.022 S
2.160 0.693 3.395 S
-0.693 2.160 3.395 S
0.000 0.000 6.200 S
```

The 8 most intense peaks (5° ≤ 2θ ≤ 70°), in order of falling intensity:
2θ/deg	intensity
22.94	100.0
26.78	61.9
45.06	43.5
37.73	41.5
26.08	34.7
38.24	18.0
44.17	16.5
59.82	15.9

***

# Cs4Tc6S13
Calculated powder diffraction line list, Cu Kα (weighted mean of Kα1 and Kα2). Input: the GGA-PBE geometry in Alexandria.
No peak broadening, texture or thermal motion is included.

```
Cs4Tc6S13
1.0
5.124 -8.648 0.000
5.124 8.648 0.000
-2.574 0.000 13.677
Cs Tc S
8 12 26
Cartesian
1.481 2.212 8.070 Cs
1.366 0.355 3.934 Cs
0.079 -0.355 10.773 Cs
2.768 -2.212 1.231 Cs
4.906 2.212 12.446 Cs
7.595 0.355 2.904 Cs
6.308 -0.355 9.743 Cs
6.193 -2.212 5.607 Cs
3.394 5.092 1.488 Tc
1.358 4.930 12.596 Tc
3.502 2.737 0.283 Tc
5.567 5.092 5.351 Tc
5.029 4.930 7.919 Tc
5.459 2.737 6.555 Tc
2.215 -2.737 7.122 Tc
2.645 -4.930 5.758 Tc
2.107 -5.092 8.326 Tc
4.172 -2.737 13.394 Tc
6.316 -4.930 1.081 Tc
4.280 -5.092 12.189 Tc
-1.176 1.601 13.594 S
4.480 6.205 3.419 S
3.026 5.544 9.220 S
2.936 3.036 2.602 S
1.365 2.746 11.601 S
3.361 5.544 11.296 S
3.543 4.143 6.188 S
0.111 -1.601 6.756 S
5.418 4.143 0.651 S
4.848 0.613 0.828 S
4.113 0.613 6.011 S
6.024 3.036 4.237 S
5.023 2.746 8.915 S
2.651 -2.746 4.762 S
1.649 -3.036 9.440 S
3.561 -0.613 7.666 S
2.826 -0.613 12.849 S
2.256 -4.143 13.026 S
7.563 1.601 6.921 S
4.131 -4.143 7.489 S
4.313 -5.544 2.381 S
6.309 -2.746 2.076 S
4.738 -3.036 11.075 S
4.647 -5.544 4.457 S
3.194 -6.205 10.258 S
8.850 -1.601 0.083 S
```

The 8 most intense peaks (5° ≤ 2θ ≤ 70°), in order of falling intensity:
2θ/deg	intensity
12.91	100.0
11.14	91.5
10.23	64.7
16.53	59.0
35.90	40.9
41.74	40.9
28.73	39.9
17.61	36.0

***

# Cs2TcS4
Calculated powder diffraction line list, Cu Kα (weighted mean of Kα1 and Kα2). Input: the GGA-PBE geometry in Alexandria.
No peak broadening, texture or thermal motion is included.

```
Cs2TcS4
1.0
4.807 0.000 0.000
0.000 4.807 0.000
0.000 0.000 17.448
Cs Tc S
4 2 8
Cartesian
0.000 0.000 2.624 Cs
0.000 0.000 14.824 Cs
2.404 2.404 6.100 Cs
2.404 2.404 11.349 Cs
0.000 0.000 8.724 Tc
2.404 2.404 0.000 Tc
0.000 0.000 6.351 S
0.000 0.000 11.098 S
0.000 2.404 0.000 S
0.000 2.404 8.724 S
2.404 0.000 0.000 S
2.404 0.000 8.724 S
2.404 2.404 2.373 S
2.404 2.404 15.075 S
```

The 8 most intense peaks (5° ≤ 2θ ≤ 70°), in order of falling intensity:
2θ/deg	intensity
24.02	100.0
26.22	62.1
37.41	44.3
44.95	37.7
33.42	28.5
49.18	26.7
30.75	26.2
40.83	23.6